This entry pairs a crystal structure of Sc6InTe3As2 with its calculated XRD peak list. Radiation: λ = 1.5418 Å (Cu Kα). Structure: a PBE-relaxed structure.
Peak positions follow from Bragg's law for the DFT cell and can differ from measured ones.

abc: 17.786 4.002 8.282
angles: 90.00 103.71 90.00
Space group C2/m (No. 12)
Asymmetric unit:
1 Sc 0.009 0.000 0.254 x4
2 Sc 0.167 0.500 0.110 x4
3 Sc 0.176 0.500 0.566 x4
4 In 0.000 0.500 0.000 x2
5 Te 0.000 0.500 0.500 x2
6 Te 0.164 0.000 0.833 x4
7 As 0.168 0.000 0.337 x4

The 10 most intense peaks (5° ≤ 2θ ≤ 70°), in order of rising 2θ:
| Position (°2θ) | I_rel | index |
| --- | --- | --- |
| 26.45 | 9 | 4 0 -2 |
| 26.56 | 9 | 2 0 2 |
| 27.13 | 16 | 3 1 0 |
| 31.07 | 100 | 1 1 -2 |
| 43.72 | 12 | 2 0 -4 |
| 44.44 | 23 | 7 1 -2 |
| 44.58 | 24 | 5 1 2 |
| 45.32 | 12 | 0 2 0 |
| 55.95 | 12 | 6 2 0 |
| 64.77 | 11 | 2 2 -4 |

=====

This entry pairs a crystal structure of In3AsSe2 with its calculated XRD peak list. Radiation: λ = 1.5418 Å (Cu Kα). Structure: a PBE-relaxed structure.
Peak positions follow from Bragg's law for the DFT cell and can differ from measured ones.

abc: 4.580 13.645 6.459
angles: 90.00 90.00 90.00
Space group Imm2 (No. 44)
Asymmetric unit:
1 In 0.000 0.000 0.000 x2
2 In 0.000 0.339 0.014 x4
3 As 0.000 0.500 0.271 x2
4 Se 0.000 0.164 0.257 x4

The 10 most intense peaks (5° ≤ 2θ ≤ 70°), in order of rising 2θ:
| Position (°2θ) | I_rel | index |
| --- | --- | --- |
| 23.82 | 99 | 1 0 1 |
| 23.93 | 100 | 0 3 1 |
| 39.35 | 26 | 2 0 0 |
| 39.48 | 100 | 1 3 2 |
| 39.63 | 25 | 0 6 0 |
| 46.59 | 49 | 1 0 3 |
| 46.74 | 46 | 1 6 1 |
| 57.07 | 25 | 2 6 0 |
| 62.65 | 12 | 2 3 3 |
| 62.80 | 13 | 1 6 3 |

=====

This entry pairs a crystal structure of InAsSe4 with its calculated XRD peak list. Radiation: λ = 1.5418 Å (Cu Kα). Structure: a PBE-relaxed structure.
Peak positions follow from Bragg's law for the DFT cell and can differ from measured ones.

abc: 5.535 3.960 6.992
angles: 90.00 101.76 90.00
Space group P2/m (No. 10)
Asymmetric unit:
1 In 0.000 0.000 0.000 x1
2 As 0.000 0.500 0.500 x1
3 Se 0.270 0.000 0.379 x2
4 Se 0.292 0.500 0.868 x2

The 10 most intense peaks (5° ≤ 2θ ≤ 70°), in order of rising 2θ:
| Position (°2θ) | I_rel | index |
| --- | --- | --- |
| 16.36 | 17 | 1 0 0 |
| 26.03 | 12 | 0 0 2 |
| 29.38 | 100 | 1 1 -1 |
| 33.70 | 42 | 1 0 2 |
| 37.92 | 12 | 2 0 -2 |
| 40.27 | 20 | 2 1 -1 |
| 44.70 | 35 | 2 1 1 |
| 45.87 | 43 | 0 2 0 |
| 46.01 | 18 | 1 1 -3 |
| 58.08 | 17 | 1 2 2 |

=====

This entry pairs a crystal structure of In2AsSe with its calculated XRD peak list. Radiation: λ = 1.5418 Å (Cu Kα). Structure: a PBE-relaxed structure.
Peak positions follow from Bragg's law for the DFT cell and can differ from measured ones.

abc: 4.4451 4.4451 7.5311
angles: 90.00 90.00 120.00
Space group P3m1 (No. 156)
Asymmetric unit:
1 In 0.0000 0.0000 0.0000 x1
2 In 0.3333 0.6667 0.4820 x1
3 As 0.3333 0.6667 0.1127 x1
4 Se 0.0000 0.0000 0.6308 x1

The 10 most intense peaks (5° ≤ 2θ ≤ 70°), in order of rising 2θ:
| Position (°2θ) | I_rel | index |
| --- | --- | --- |
| 23.10 | 100 | 1 0 0 |
| 23.63 | 60 | 0 0 2 |
| 25.99 | 85 | 0 1 1 |
| 33.28 | 39 | 1 0 2 |
| 40.59 | 90 | 1 1 0 |
| 43.01 | 100 | 0 1 3 |
| 47.50 | 54 | 1 1 2 |
| 48.84 | 15 | 2 0 1 |
| 60.62 | 35 | 2 0 3 |
| 66.68 | 22 | 0 1 5 |

=====

This entry pairs a crystal structure of TlInAsSe3 with its calculated XRD peak list. Radiation: λ = 1.5418 Å (Cu Kα). Structure: a PBE-relaxed structure.
Peak positions follow from Bragg's law for the DFT cell and can differ from measured ones.

abc: 8.713 4.038 10.549
angles: 90.00 107.84 90.00
Space group P2_1/m (No. 11)
Asymmetric unit:
1 Tl 0.200 0.250 0.210 x2
2 In 0.146 0.250 0.639 x2
3 As 0.331 0.750 0.881 x2
4 Se 0.110 0.250 0.891 x2
5 Se 0.189 0.750 0.482 x2
6 Se 0.479 0.750 0.142 x2

The 10 most intense peaks (5° ≤ 2θ ≤ 70°), in order of rising 2θ:
| Position (°2θ) | I_rel | index |
| --- | --- | --- |
| 10.67 | 40 | 1 0 0 |
| 24.52 | 35 | 1 1 0 |
| 28.34 | 100 | 1 1 -2 |
| 30.27 | 81 | 2 1 -1 |
| 30.91 | 70 | 2 1 0 |
| 32.38 | 38 | 3 0 0 |
| 34.81 | 33 | 0 1 3 |
| 39.12 | 54 | 2 1 2 |
| 42.33 | 46 | 2 1 -4 |
| 44.89 | 43 | 0 2 0 |

=====

This entry pairs a crystal structure of ZnIn3AsSe4 with its calculated XRD peak list. Radiation: λ = 1.5418 Å (Cu Kα). Structure: a PBE-relaxed structure.
Peak positions follow from Bragg's law for the DFT cell and can differ from measured ones.

abc: 5.928 7.229 7.272
angles: 80.72 65.95 65.99
Space group P1 (No. 1)
Asymmetric unit:
1 Zn 0.000 0.000 0.000 x1
2 In 0.176 0.406 0.195 x1
3 In 0.577 0.206 0.600 x1
4 In 0.776 0.613 0.808 x1
5 As 0.655 0.288 0.905 x1
6 Se 0.049 0.083 0.299 x1
7 Se 0.238 0.535 0.490 x1
8 Se 0.414 0.901 0.688 x1
9 Se 0.807 0.731 0.120 x1

The 10 most intense peaks (5° ≤ 2θ ≤ 70°), in order of rising 2θ:
| Position (°2θ) | I_rel | index |
| --- | --- | --- |
| 26.03 | 100 | 1 0 -1 |
| 26.10 | 32 | 1 2 0 |
| 43.09 | 32 | 2 2 -1 |
| 43.20 | 46 | 0 1 3 |
| 43.34 | 16 | 2 3 2 |
| 51.00 | 24 | 3 0 2 |
| 51.10 | 9 | 3 1 0 |
| 51.23 | 14 | 3 3 1 |
| 51.35 | 9 | 1 4 1 |
| 69.09 | 10 | -1 1 4 |

=====

This entry pairs a crystal structure of In2SiAs with its calculated XRD peak list. Radiation: λ = 1.5418 Å (Cu Kα). Structure: a PBE-relaxed structure.
Peak positions follow from Bragg's law for the DFT cell and can differ from measured ones.

abc: 11.758 3.588 4.950
angles: 90.00 114.76 90.00
Space group Cm (No. 8)
Asymmetric unit:
1 In 0.000 0.000 0.000 x2
2 In 0.208 0.000 0.661 x2
3 Si 0.253 0.500 0.175 x2
4 As 0.407 0.000 0.404 x2

The 10 most intense peaks (5° ≤ 2θ ≤ 70°), in order of rising 2θ:
| Position (°2θ) | I_rel | index |
| --- | --- | --- |
| 26.20 | 27 | 1 1 0 |
| 30.95 | 49 | 4 0 -1 |
| 33.57 | 14 | 4 0 0 |
| 35.17 | 100 | 1 1 1 |
| 36.30 | 26 | 2 0 -2 |
| 45.31 | 12 | 1 1 -2 |
| 49.68 | 19 | 5 1 0 |
| 50.90 | 11 | 0 2 0 |
| 60.77 | 14 | 4 2 -1 |
| 64.57 | 13 | 1 1 -3 |

=====

This entry pairs a crystal structure of In2Sn2As5 with its calculated XRD peak list. Radiation: λ = 1.5418 Å (Cu Kα). Structure: a PBE-relaxed structure.
Peak positions follow from Bragg's law for the DFT cell and can differ from measured ones.

abc: 4.2131 4.2131 50.3709
angles: 90.00 90.00 120.00
Space group R3m (No. 160, hexagonal axes)
Asymmetric unit:
1 In 0.0000 0.0000 0.0000 x3
2 In 0.0000 0.0000 0.1711 x3
3 Sn 0.0000 0.0000 0.5853 x3
4 Sn 0.0000 0.0000 0.7641 x3
5 As 0.0000 0.0000 0.0740 x3
6 As 0.0000 0.0000 0.2238 x3
7 As 0.0000 0.0000 0.6886 x3
8 As 0.0000 0.0000 0.8175 x3
9 As 0.0000 0.0000 0.9466 x3

The 10 most intense peaks (5° ≤ 2θ ≤ 70°), in order of rising 2θ:
| Position (°2θ) | I_rel | index |
| --- | --- | --- |
| 21.17 | 50 | 0 0 12 |
| 24.46 | 45 | 1 0 1 |
| 24.65 | 32 | 0 1 2 |
| 25.97 | 71 | 0 1 5 |
| 30.25 | 29 | 1 0 10 |
| 33.74 | 23 | 1 0 13 |
| 39.17 | 64 | 0 1 17 |
| 42.93 | 100 | 1 1 0 |
| 46.85 | 38 | 1 0 22 |
| 48.34 | 34 | 1 1 12 |

=====

This entry pairs a crystal structure of InSn4As5 with its calculated XRD peak list. Radiation: λ = 1.5418 Å (Cu Kα). Structure: a PBE-relaxed structure.
Peak positions follow from Bragg's law for the DFT cell and can differ from measured ones.

abc: 4.2009 4.2009 66.3205
angles: 90.00 90.00 120.00
Space group R3m (No. 160, hexagonal axes)
Asymmetric unit:
1 In 0.0000 0.0000 0.0000 x3
2 Sn 0.0000 0.0000 0.1952 x3
3 Sn 0.0000 0.0000 0.3887 x3
4 Sn 0.0000 0.0000 0.6073 x3
5 Sn 0.0000 0.0000 0.8021 x3
6 As 0.0000 0.0000 0.1552 x3
7 As 0.0000 0.0000 0.3489 x3
8 As 0.0000 0.0000 0.5464 x3
9 As 0.0000 0.0000 0.7399 x3
10 As 0.0000 0.0000 0.9603 x3

The 10 most intense peaks (5° ≤ 2θ ≤ 70°), in order of rising 2θ:
| Position (°2θ) | I_rel | index |
| --- | --- | --- |
| 8.00 | 19 | 0 0 6 |
| 20.08 | 35 | 0 0 15 |
| 25.39 | 100 | 0 1 5 |
| 36.67 | 35 | 0 1 20 |
| 43.06 | 47 | 1 1 0 |
| 43.32 | 22 | 0 1 26 |
| 47.95 | 22 | 1 1 15 |
| 49.43 | 23 | 1 0 31 |
| 50.66 | 16 | 2 0 5 |
| 67.62 | 13 | 0 2 31 |

=====

This entry pairs a crystal structure of InSnAs with its calculated XRD peak list. Radiation: λ = 1.5418 Å (Cu Kα). Structure: a PBE-relaxed structure.
Peak positions follow from Bragg's law for the DFT cell and can differ from measured ones.

abc: 6.8577 6.8577 18.5921
angles: 90.00 90.00 120.00
Space group R3 (No. 146, hexagonal axes)
Asymmetric unit:
1 In 0.0064 0.7182 0.0000 x9
2 Sn 0.0661 0.3354 0.5219 x9
3 As 0.0000 0.0000 0.2135 x3
4 As 0.0000 0.0000 0.4248 x3
5 As 0.0000 0.0000 0.7518 x3

The 10 most intense peaks (5° ≤ 2θ ≤ 70°), in order of rising 2θ:
| Position (°2θ) | I_rel | index |
| --- | --- | --- |
| 28.81 | 17 | 0 0 6 |
| 29.78 | 100 | 2 -1 3 |
| 31.63 | 17 | 2 0 2 |
| 35.89 | 12 | 0 2 4 |
| 39.19 | 37 | 1 1 6 |
| 40.48 | 12 | 3 -1 1 |
| 45.84 | 28 | 3 0 0 |
| 47.30 | 9 | 3 -2 5 |
| 51.66 | 13 | 1 1 9 |
| 55.62 | 9 | 2 2 3 |

=====

This entry pairs a crystal structure of SrIn2As2 with its calculated XRD peak list. Radiation: λ = 1.5418 Å (Cu Kα). Structure: a PBE-relaxed structure.
Peak positions follow from Bragg's law for the DFT cell and can differ from measured ones.

abc: 4.2952 4.2952 18.3364
angles: 90.00 90.00 120.00
Space group P6_3/mmc (No. 194)
Asymmetric unit:
1 Sr 0.0000 0.0000 0.0000 x2
2 In 0.3333 0.6667 0.1729 x4
3 As 0.3333 0.6667 0.6083 x4

The 10 most intense peaks (5° ≤ 2θ ≤ 70°), in order of rising 2θ:
| Position (°2θ) | I_rel | index |
| --- | --- | --- |
| 23.92 | 22 | 1 0 0 |
| 24.42 | 34 | 1 0 1 |
| 25.85 | 63 | 1 0 2 |
| 28.08 | 55 | 1 0 3 |
| 30.96 | 83 | 1 0 4 |
| 34.34 | 22 | 1 0 5 |
| 42.07 | 100 | 1 1 0 |
| 42.19 | 95 | 1 0 7 |
| 52.05 | 23 | 1 1 6 |
| 61.11 | 31 | 2 0 7 |

=====

This entry pairs a crystal structure of TaInAs2 with its calculated XRD peak list. Radiation: λ = 1.5418 Å (Cu Kα). Structure: a PBE-relaxed structure.
Peak positions follow from Bragg's law for the DFT cell and can differ from measured ones.

abc: 4.731 3.630 9.476
angles: 90.00 90.00 90.00
Space group Amm2 (No. 38)
Asymmetric unit:
1 Ta 0.000 0.000 0.000 x2
2 In 0.500 0.000 0.396 x2
3 As 0.000 0.000 0.713 x2
4 As 0.500 0.000 0.119 x2

The 10 most intense peaks (5° ≤ 2θ ≤ 70°), in order of rising 2θ:
| Position (°2θ) | I_rel | index |
| --- | --- | --- |
| 18.73 | 30 | 0 0 2 |
| 26.29 | 20 | 0 1 1 |
| 32.49 | 100 | 1 1 1 |
| 37.75 | 44 | 0 1 3 |
| 38.04 | 45 | 2 0 0 |
| 42.48 | 40 | 1 1 3 |
| 42.69 | 55 | 1 0 4 |
| 50.26 | 19 | 0 2 0 |
| 54.67 | 34 | 2 1 3 |
| 68.02 | 28 | 1 2 4 |

=====

This entry pairs a crystal structure of TaInAs2 with its calculated XRD peak list. Radiation: λ = 1.5418 Å (Cu Kα). Structure: a PBE-relaxed structure.
Peak positions follow from Bragg's law for the DFT cell and can differ from measured ones.

abc: 3.3574 3.3574 27.0034
angles: 90.00 90.00 120.00
Space group R-3m (No. 166, hexagonal axes)
Asymmetric unit:
1 Ta 0.0000 0.0000 0.0000 x3
2 In 0.0000 0.0000 0.5000 x3
3 As 0.0000 0.0000 0.2670 x6

The 10 most intense peaks (5° ≤ 2θ ≤ 70°), in order of rising 2θ:
| Position (°2θ) | I_rel | index |
| --- | --- | --- |
| 9.83 | 36 | 0 0 3 |
| 19.73 | 19 | 0 0 6 |
| 31.47 | 13 | 0 1 2 |
| 33.56 | 100 | 1 0 4 |
| 40.07 | 12 | 0 0 12 |
| 40.97 | 48 | 0 1 8 |
| 45.86 | 11 | 1 0 10 |
| 54.68 | 26 | 1 1 0 |
| 65.70 | 14 | 0 2 4 |
| 69.91 | 14 | 1 1 12 |

=====

This entry pairs a crystal structure of In4Te3As with its calculated XRD peak list. Radiation: λ = 1.5418 Å (Cu Kα). Structure: a PBE-relaxed structure.
Peak positions follow from Bragg's law for the DFT cell and can differ from measured ones.

abc: 6.072 10.536 8.711
angles: 90.00 90.00 90.00
Space group Pmmn (No. 59, origin choice 2)
Asymmetric unit:
1 In 0.250 0.017 0.183 x4
2 In 0.250 0.250 0.645 x2
3 In 0.250 0.750 0.672 x2
4 Te 0.250 0.006 0.832 x4
5 Te 0.250 0.750 0.324 x2
6 As 0.250 0.250 0.329 x2

The 10 most intense peaks (5° ≤ 2θ ≤ 70°), in order of rising 2θ:
| Position (°2θ) | I_rel | index |
| --- | --- | --- |
| 19.69 | 100 | 0 2 1 |
| 20.39 | 59 | 0 0 2 |
| 29.42 | 86 | 2 0 0 |
| 34.04 | 53 | 0 4 0 |
| 35.30 | 96 | 0 2 3 |
| 35.66 | 44 | 2 2 1 |
| 36.06 | 31 | 2 0 2 |
| 45.60 | 47 | 2 4 0 |
| 46.59 | 85 | 2 2 3 |
| 69.84 | 22 | 2 6 3 |

=====

This entry pairs a crystal structure of TlInAs with its calculated XRD peak list. Radiation: λ = 1.5418 Å (Cu Kα). Structure: a PBE-relaxed structure.
Peak positions follow from Bragg's law for the DFT cell and can differ from measured ones.

abc: 5.2423 5.2423 3.2590
angles: 90.00 90.00 120.00
Space group P3m1 (No. 156)
Asymmetric unit:
1 Tl 0.0000 0.0000 0.0000 x1
2 In 0.3333 0.6667 0.5023 x1
3 As 0.6667 0.3333 0.5001 x1

The 10 most intense peaks (5° ≤ 2θ ≤ 70°), in order of rising 2θ:
| Position (°2θ) | I_rel | index |
| --- | --- | --- |
| 19.55 | 24 | 1 0 0 |
| 33.86 | 100 | 1 0 1 |
| 34.21 | 85 | 1 1 0 |
| 39.71 | 4 | 2 0 0 |
| 48.90 | 36 | 0 2 1 |
| 53.39 | 4 | 2 1 0 |
| 56.47 | 7 | 0 0 2 |
| 61.03 | 37 | 2 1 1 |
| 61.25 | 16 | 3 0 0 |
| 67.71 | 23 | 1 1 2 |